This entry pairs a crystal structure of Rb2NaMnF6 with its theoretical powder X-ray diffraction pattern. Radiation: λ = 1.5418 Å (Cu Kα). Structure: a PBE+U-relaxed structure.
Intensities are scaled so that the largest is 100.

Top 8 peaks for 5 to 70 degrees two-theta, sorted by position:
| h k l | Position (°2θ) | d_spacing | Rel. int. |
| --- | --- | --- | --- |
| 1 1 2 | 29.1 | 3.072 | 100 |
| 2 0 0 | 29.7 | 3.008 | 48 |
| 2 0 2 | 36.1 | 2.490 | 51 |
| 0 0 4 | 40.6 | 2.220 | 29 |
| 2 2 0 | 42.5 | 2.127 | 48 |
| 2 0 4 | 51.1 | 1.786 | 20 |
| 3 1 2 | 52.3 | 1.749 | 36 |
| 2 2 4 | 60.3 | 1.536 | 30 |

Structure:
```
data_Rb2NaMnF6
_space_group_name_H-M_alt 'I 4/m m m'
_space_group_IT_number 139
_space_group_name_Hall '-I 4 2'
_cell_length_a 6.0166
_cell_length_b 6.0166
_cell_length_c 8.8797
_cell_angle_alpha 90.00
_cell_angle_beta 90.00
_cell_angle_gamma 90.00
loop_
_atom_site_label
_atom_site_fract_x
_atom_site_fract_y
_atom_site_fract_z
Rb1 0.0000 0.5000 0.2500
Na1 0.0000 0.0000 0.0000
Mn1 0.0000 0.0000 0.5000
F1 0.0000 0.0000 0.2595
F2 0.2242 0.2242 0.5000
```